[1]
Calculated powder X-ray diffraction pattern of Fe3Sb5I3O9 for Cu Kα, 1.54184 Å, from DFT lattice parameters and positions (GGA+U).
Peak positions follow from Bragg's law for the DFT cell and can differ from measured ones.

Most intense lines, 10° ≤ 2θ ≤ 80°, by intensity:
27.17°, I 100; 29.73°, I 88; 29.54°, I 57; 29.06°, I 53; 34.55°, I 48; 21.07°, I 46; 33.11°, I 45; 24.39°, I 29; 29.39°, I 29; 36.47°, I 28

Atomic structure:
```
40
Lattice="8.1456 0.0000 0.0000 3.0358 8.5700 0.0000 0.9228 2.1930 12.1661" Properties=species:S:1:pos:R:3 pbc="T T T"
Fe 1.7047 4.2508 1.5650
Fe 4.5264 5.7955 7.8753
Fe 5.2525 5.5393 11.4522
Fe 6.8517 5.2237 0.7139
Fe 7.5778 4.9675 4.2908
Fe 10.3995 6.5122 10.6011
Sb 2.4088 3.7971 6.0710
Sb 4.7757 8.7521 11.9254
Sb 3.0023 3.2817 9.7115
Sb 4.2445 6.2692 3.1290
Sb 4.9201 3.0218 2.9880
Sb 7.1841 7.7411 9.1781
Sb 7.8597 4.4937 9.0371
Sb 9.1019 7.4813 2.4546
Sb 7.3285 2.0108 0.2407
Sb 9.6954 6.9659 6.0951
I 3.9342 8.5712 8.3246
I 2.7797 1.3585 0.9179
I 6.8132 7.8180 5.1069
I 5.2910 2.9449 7.0592
I 9.3245 9.4045 11.2482
I 8.1700 2.1918 3.8415
O 2.7294 6.8973 1.6444
O 1.9661 3.6724 8.0035
O 3.2280 5.6731 6.3282
O 3.8128 6.9631 11.9540
O 3.3392 4.3941 2.8013
O 3.7391 5.1490 9.7830
O 5.1838 6.2442 1.2821
O 6.3623 7.4743 11.0155
O 5.7241 4.7265 3.6742
O 6.3801 6.0365 8.4919
O 5.7419 3.2887 1.1506
O 6.9204 4.5187 10.8840
O 8.3651 5.6139 2.3831
O 8.7650 6.3689 9.3648
O 8.2914 3.7999 0.2121
O 8.8762 5.0899 5.8379
O 10.1380 7.0905 4.1626
O 9.3748 3.8657 10.5217
```

=====

[2]
Calculated powder X-ray diffraction pattern of Li2InFeP4O14 for Cu Kα, 1.54184 Å, from DFT lattice parameters and positions (GGA+U).
Peak positions follow from Bragg's law for the DFT cell and can differ from measured ones.

Most intense lines, 10° ≤ 2θ ≤ 80°, by intensity:
16.93°, I 100; 28.75°, I 60; 29.27°, I 30; 22.02°, I 30; 21.77°, I 27; 26.64°, I 24; 28.65°, I 12; 47.48°, I 11; 38.60°, I 11; 34.14°, I 11

Atomic structure:
```
22
Lattice="4.9404 0.0000 0.0000 -2.3245 6.6867 0.0000 -0.0241 -0.0482 8.4219" Properties=species:S:1:pos:R:3 pbc="T T T"
Li 0.0000 0.0000 0.0000
Li 1.0482 2.2689 4.2745
In 1.0727 2.7668 1.2055
Fe 2.6111 6.3048 5.4130
P 0.2079 5.0778 3.6773
P 2.4302 1.2858 6.9311
P 3.5664 0.9733 2.7558
P 3.4424 3.9607 7.7485
O -1.6239 5.2795 6.9797
O -1.2299 5.4365 4.0097
O -0.0488 3.5887 8.0185
O 0.3060 3.7118 2.9834
O 1.4933 1.0312 5.7427
O 1.7091 1.1208 8.2793
O 0.7520 6.1287 2.5608
O 1.1318 5.1166 4.8968
O 2.3198 1.8632 2.7891
O 2.8072 2.8521 6.7477
O 3.7339 0.4845 6.8927
O 2.6315 4.0956 0.6139
O 4.3352 1.0583 4.0835
O 4.4626 1.2096 1.5311
```

=====

[3]
Calculated powder X-ray diffraction pattern of InFe11O16 for Cu Kα, 1.54184 Å, from DFT lattice parameters and positions (GGA+U).
Peak positions follow from Bragg's law for the DFT cell and can differ from measured ones.

Most intense lines, 10° ≤ 2θ ≤ 80°, by intensity:
34.40°, I 100; 34.77°, I 47; 60.96°, I 42; 29.38°, I 35; 55.19°, I 14; 55.09°, I 14; 41.72°, I 13; 55.91°, I 13; 60.33°, I 11; 60.63°, I 11

Atomic structure:
```
56
Lattice="6.1366 -8.5366 0.0000 6.1366 8.5366 0.0000 0.0000 0.0000 6.1092" Properties=species:S:1:pos:R:3 pbc="T T T"
In 6.1366 5.3457 4.5819
In 6.1366 -5.3457 1.5273
Fe 0.0000 0.0000 0.0000
Fe 0.0000 0.0000 3.0546
Fe 3.0683 4.2683 0.0000
Fe 3.0683 4.2683 3.0546
Fe 1.5548 2.1380 4.5819
Fe 3.0678 1.0685 1.5273
Fe 1.5548 -2.1380 1.5273
Fe 4.5839 2.0669 4.5819
Fe 3.0678 -1.0685 4.5819
Fe 6.1366 3.1734 1.5273
Fe 4.5839 -2.0669 1.5273
Fe 3.0683 -4.2683 0.0000
Fe 3.0683 -4.2683 3.0546
Fe 6.1366 0.0000 0.0000
Fe 6.1366 0.0000 3.0546
Fe 7.6894 2.0669 4.5819
Fe 6.1366 -3.1734 4.5819
Fe 9.2055 1.0685 1.5273
Fe 7.6894 -2.0669 1.5273
Fe 10.7185 2.1380 4.5819
Fe 9.2055 -1.0685 4.5819
Fe 10.7185 -2.1380 1.5273
O 1.4317 0.0307 1.5273
O 6.1366 6.5709 0.1058
O 6.1366 6.5709 2.9488
O 1.4317 -0.0307 4.5819
O 4.5711 4.2950 1.5273
O 4.4604 4.1051 4.5819
O 3.1117 2.1784 3.1093
O 3.1117 2.1784 6.0545
O 4.6165 0.0718 4.5819
O 7.7021 4.2950 1.5273
O 6.1366 2.0730 3.1775
O 6.1366 2.0730 5.9862
O 4.6165 -0.0718 1.5273
O 3.1117 -2.1784 0.0547
O 3.1117 -2.1784 2.9999
O 7.8128 4.1051 4.5819
O 4.4604 -4.1051 1.5273
O 9.1615 2.1784 3.1093
O 9.1615 2.1784 6.0545
O 7.6568 0.0718 4.5819
O 6.1366 -2.0730 0.1229
O 6.1366 -2.0730 2.9316
O 4.5711 -4.2950 4.5819
O 7.6568 -0.0718 1.5273
O 9.1615 -2.1784 0.0547
O 9.1615 -2.1784 2.9999
O 7.8128 -4.1051 1.5273
O 7.7021 -4.2950 4.5819
O 10.8415 0.0307 1.5273
O 6.1366 -6.5709 3.1604
O 6.1366 -6.5709 6.0034
O 10.8415 -0.0307 4.5819
```

=====

[4]
Calculated powder X-ray diffraction pattern of InFeO3 for Cu Kα, 1.54184 Å, from DFT lattice parameters and positions (GGA+U).
Peak positions follow from Bragg's law for the DFT cell and can differ from measured ones.

Most intense lines, 10° ≤ 2θ ≤ 80°, by intensity:
33.74°, I 100; 28.89°, I 52; 42.42°, I 44; 53.98°, I 40; 31.25°, I 37; 54.36°, I 35; 30.38°, I 34; 62.38°, I 32; 14.33°, I 27; 65.18°, I 15

Atomic structure:
```
10
Lattice="3.3975 0.0000 0.0000 -1.6988 2.9424 0.0000 0.0000 0.0000 12.3604" Properties=species:S:1:pos:R:3 pbc="T T T"
In 0.0000 0.0000 0.0000
In 0.0000 0.0000 6.1802
Fe 0.0000 1.9616 3.0901
Fe 1.6988 0.9808 9.2703
O 0.0000 0.0000 3.0901
O 0.0000 0.0000 9.2703
O 0.0000 1.9616 1.0601
O 0.0000 1.9616 5.1201
O 1.6988 0.9808 7.2403
O 1.6988 0.9808 11.3003
```

=====

[5]
Calculated powder X-ray diffraction pattern of In2FeSbO7 for Cu Kα, 1.54184 Å, from DFT lattice parameters and positions (GGA+U).
Peak positions follow from Bragg's law for the DFT cell and can differ from measured ones.

Most intense lines, 10° ≤ 2θ ≤ 80°, by intensity:
30.38°, I 100; 30.21°, I 96; 50.56°, I 64; 60.13°, I 39; 35.07°, I 38; 59.83°, I 27; 35.23°, I 18; 50.21°, I 17; 50.67°, I 15; 60.24°, I 13

Atomic structure:
```
22
Lattice="-3.6035 3.6339 5.0948 3.6035 -3.6339 5.0948 3.6035 3.6339 -5.0948" Properties=species:S:1:pos:R:3 pbc="T T T"
In 0.0000 0.0000 0.0000
In -1.8017 1.8169 2.5474
In 0.0000 3.6339 0.0000
In 1.8017 1.8169 2.5474
Fe 1.8017 1.8169 -2.5474
Fe 1.8017 -1.8169 2.5474
Sb 3.6035 0.0000 0.0000
Sb 0.0000 0.0000 5.0948
O 2.1271 -0.2398 1.3089
O 5.0798 -0.2398 1.3089
O 3.6035 -1.8169 3.5834
O 3.6035 1.8169 0.7806
O 2.1271 3.3940 -1.3089
O 1.4764 -0.2398 3.7859
O 0.0000 1.8169 1.3521
O 3.6035 1.8169 3.7428
O 2.1271 3.8737 1.3089
O 1.4764 0.2398 6.4038
O 0.0000 1.8169 4.3143
O 0.0000 5.4508 1.5114
O -1.4764 3.8737 3.7859
O 1.4764 3.8737 3.7859
```

=====

[6]
Calculated powder X-ray diffraction pattern of Sr2FeIrO6 for Cu Kα, 1.54184 Å, from DFT lattice parameters and positions (GGA+U).
Peak positions follow from Bragg's law for the DFT cell and can differ from measured ones.

Most intense lines, 10° ≤ 2θ ≤ 80°, by intensity:
31.81°, I 100; 31.88°, I 67; 19.29°, I 36; 56.69°, I 34; 31.66°, I 33; 45.49°, I 21; 56.47°, I 21; 45.61°, I 21; 45.71°, I 20; 56.88°, I 20

Atomic structure:
```
10
Lattice="5.6133 0.0000 0.0000 2.7856 4.8739 0.0000 2.7994 1.5938 4.6042" Properties=species:S:1:pos:R:3 pbc="T T T"
Sr 2.7996 1.6178 1.1491
Sr 8.3988 4.8499 3.4552
Fe 0.0000 0.0000 0.0000
Ir 5.5992 3.2339 2.3021
O 4.1712 2.6020 3.5264
O 5.6163 4.9752 3.2529
O 4.2512 3.9581 1.0387
O 6.9472 2.5096 3.5655
O 5.5821 1.4925 1.3514
O 7.0272 3.8657 1.0779
```

=====

[7]
Calculated powder X-ray diffraction pattern of KLaFe4O12 for Cu Kα, 1.54184 Å, from DFT lattice parameters and positions (GGA+U).
Peak positions follow from Bragg's law for the DFT cell and can differ from measured ones.

Most intense lines, 10° ≤ 2θ ≤ 80°, by intensity:
32.84°, I 100; 19.94°, I 63; 47.20°, I 34; 58.68°, I 25; 38.76°, I 22; 68.79°, I 18; 46.98°, I 17; 16.23°, I 16; 11.50°, I 15; 58.53°, I 13

Atomic structure:
```
18
Lattice="7.6968 0.0000 0.0000 0.0000 3.8684 3.8543 0.0000 -3.8684 3.8543" Properties=species:S:1:pos:R:3 pbc="T T T"
K 0.0000 0.0000 0.0000
La 3.8484 0.0000 3.8641
Fe 1.8857 -1.9330 1.9302
Fe 1.8857 1.9330 1.9302
Fe 5.8111 -1.9330 1.9302
Fe 5.8111 1.9330 1.9302
O 0.0000 -1.9120 1.9397
O 0.0000 1.9120 1.9397
O 1.9967 0.0000 5.7221
O 2.0115 -1.8557 3.8554
O 2.0115 1.8557 3.8554
O 2.0528 0.0000 1.9838
O 3.8484 -1.9000 5.7774
O 3.8484 1.9000 5.7774
O 5.6440 0.0000 1.9838
O 5.6853 -1.8557 3.8554
O 5.6853 1.8557 3.8554
O 5.7001 0.0000 5.7221
```

=====

[8]
Calculated powder X-ray diffraction pattern of KLaSmFeO6 for Cu Kα, 1.54184 Å, from DFT lattice parameters and positions (GGA+U).
Peak positions follow from Bragg's law for the DFT cell and can differ from measured ones.

Most intense lines, 10° ≤ 2θ ≤ 80°, by intensity:
30.78°, I 100; 54.73°, I 38; 44.08°, I 33; 18.70°, I 26; 64.11°, I 19; 36.26°, I 19; 72.80°, I 17; 48.28°, I 10; 58.35°, I 6; 67.43°, I 6

Atomic structure:
```
10
Lattice="0.0000 4.1084 4.1084 4.1084 0.0000 4.1084 4.1084 4.1084 0.0000" Properties=species:S:1:pos:R:3 pbc="T T T"
K 0.0000 0.0000 0.0000
La 4.1084 4.1084 4.1084
Sm 2.0542 2.0542 2.0542
Fe 6.1626 6.1626 6.1626
O 6.1626 6.1626 4.2897
O 6.1626 4.2897 6.1626
O 8.0356 6.1626 6.1626
O 4.2897 6.1626 6.1626
O 6.1626 8.0356 6.1626
O 6.1626 6.1626 8.0356
```

=====

[9]
Calculated powder X-ray diffraction pattern of KLaFeSnO6 for Cu Kα, 1.54184 Å, from DFT lattice parameters and positions (GGA+U).
Peak positions follow from Bragg's law for the DFT cell and can differ from measured ones.

Most intense lines, 10° ≤ 2θ ≤ 80°, by intensity:
31.54°, I 100; 56.15°, I 39; 45.20°, I 35; 19.16°, I 26; 65.84°, I 21; 74.84°, I 17; 37.16°, I 16; 49.51°, I 8; 69.27°, I 6; 59.90°, I 6

Atomic structure:
```
10
Lattice="0.0000 4.0121 4.0121 4.0121 0.0000 4.0121 4.0121 4.0121 0.0000" Properties=species:S:1:pos:R:3 pbc="T T T"
K 0.0000 0.0000 0.0000
La 4.0121 4.0121 4.0121
Fe 2.0061 2.0061 2.0061
Sn 6.0182 6.0182 6.0182
O 2.0061 2.0061 0.0458
O 2.0061 0.0458 2.0061
O 3.9664 2.0061 2.0061
O 0.0458 2.0061 2.0061
O 2.0061 3.9664 2.0061
O 2.0061 2.0061 3.9664
```

=====

[10]
Calculated powder X-ray diffraction pattern of KLaFeWO6 for Cu Kα, 1.54184 Å, from DFT lattice parameters and positions (GGA+U).
Peak positions follow from Bragg's law for the DFT cell and can differ from measured ones.

Most intense lines, 10° ≤ 2θ ≤ 80°, by intensity:
31.64°, I 100; 56.35°, I 39; 19.22°, I 37; 45.35°, I 32; 37.29°, I 21; 66.08°, I 19; 75.12°, I 17; 49.68°, I 9; 22.23°, I 8; 60.11°, I 8

Atomic structure:
```
10
Lattice="0.0000 3.9992 3.9992 3.9992 0.0000 3.9992 3.9992 3.9992 0.0000" Properties=species:S:1:pos:R:3 pbc="T T T"
K 0.0000 0.0000 0.0000
La 3.9992 3.9992 3.9992
Fe 1.9996 1.9996 1.9996
W 5.9989 5.9989 5.9989
O 5.9989 5.9989 4.0369
O 5.9989 4.0369 5.9989
O 7.9609 5.9989 5.9989
O 4.0369 5.9989 5.9989
O 5.9989 7.9609 5.9989
O 5.9989 5.9989 7.9609
```

=====

Number 7 is which compound? KLaFe4O12

=====

Number 9 is which compound? KLaFeSnO6